Entry 1:
Simulated powder diffraction line list
Compound: HfTlAgO3
Radiation: λ = 1.5418 Å (Cu Kα)
Structure: a crystal structure in OQMD, relaxed with PBE
Intensities are scaled so that the largest is 100.

Peak list (8 most intense, 2θ from 10° to 80°, by intensity)
d 2.792, I = 100; d 3.212, I = 100; d 2.538, I = 78; d 4.308, I = 64; d 2.955, I = 58; d 3.409, I = 45; d 2.285, I = 39; d 2.612, I = 39

Structure:
```
HfTlAgO3
1.0
13.637 0.000 0.000
0.000 3.250 0.000
0.000 0.000 9.080
Hf Tl Ag O
4 4 4 12
Direct
0.020 0.250 0.159
0.480 0.750 0.659
0.520 0.250 0.341
0.980 0.750 0.841
0.237 0.250 0.891
0.263 0.750 0.391
0.737 0.250 0.609
0.763 0.750 0.109
0.088 0.250 0.527
0.412 0.750 0.027
0.588 0.250 0.973
0.912 0.750 0.473
0.061 0.250 0.753
0.075 0.750 0.037
0.128 0.250 0.304
0.372 0.750 0.804
0.425 0.250 0.537
0.439 0.750 0.253
0.561 0.250 0.747
0.575 0.750 0.463
0.628 0.250 0.196
0.872 0.750 0.696
0.925 0.250 0.963
0.939 0.750 0.247
```


Entry 2:
Simulated powder diffraction line list
Compound: Hf2Ag2Pb3
Radiation: λ = 1.5418 Å (Cu Kα)
Structure: a crystal structure in OQMD, relaxed with PBE
Intensities are scaled so that the largest is 100.

Peak list (8 most intense, 2θ from 10° to 80°, by intensity)
d 2.427, I = 100; d 2.550, I = 99; d 1.424, I = 33; d 1.758, I = 33; d 3.252, I = 21; d 1.401, I = 18; d 4.148, I = 15; d 3.995, I = 13

Structure:
```
Hf2Ag2Pb3
1.0
2.427 1.401 8.551
-2.427 1.401 8.551
0.000 -2.803 8.551
Hf Ag Pb
2 2 3
Direct
0.000 0.000 0.000
0.498 0.498 0.498
0.252 0.252 0.252
0.739 0.739 0.739
0.126 0.126 0.126
0.365 0.365 0.365
0.887 0.887 0.887
```


Entry 3:
Simulated powder diffraction line list
Compound: Hf2AgPb3
Radiation: λ = 1.5418 Å (Cu Kα)
Structure: a crystal structure in OQMD, relaxed with PBE
Intensities are scaled so that the largest is 100.

Peak list (8 most intense, 2θ from 10° to 80°, by intensity)
d 2.558, I = 100; d 2.583, I = 55; d 1.487, I = 38; d 1.827, I = 20; d 1.472, I = 15; d 1.279, I = 10; d 1.791, I = 7; d 1.292, I = 6

Structure:
```
Hf2AgPb3
1.0
3.653 0.000 0.000
0.000 3.653 0.000
0.000 0.000 10.746
Hf Ag Pb
2 1 3
Direct
0.000 0.000 0.000
0.500 0.500 0.479
0.000 0.000 0.335
0.000 0.000 0.646
0.500 0.500 0.179
0.500 0.500 0.839
```


Entry 4:
Simulated powder diffraction line list
Compound: HfAgPd
Radiation: λ = 1.5418 Å (Cu Kα)
Structure: a crystal structure in OQMD, relaxed with PBE
Intensities are scaled so that the largest is 100.

Peak list (8 most intense, 2θ from 10° to 80°, by intensity)
d 2.241, I = 100; d 2.466, I = 66; d 1.376, I = 41; d 1.744, I = 23; d 1.258, I = 15; d 1.233, I = 7; d 3.241, I = 7; d 1.463, I = 6

Structure:
```
HfAgPd
1.0
3.488 0.000 0.000
0.000 3.488 0.000
0.000 0.000 8.776
Hf Ag Pd
2 2 2
Direct
0.000 0.000 0.000
0.500 0.500 0.500
0.000 0.000 0.331
0.000 0.000 0.669
0.500 0.500 0.163
0.500 0.500 0.837
```


Entry 5:
Simulated powder diffraction line list
Compound: Hf2AgPt3
Radiation: λ = 1.5418 Å (Cu Kα)
Structure: a crystal structure in OQMD, relaxed with PBE
Intensities are scaled so that the largest is 100.

Peak list (8 most intense, 2θ from 10° to 80°, by intensity)
d 2.235, I = 100; d 2.469, I = 69; d 1.376, I = 43; d 1.746, I = 24; d 1.253, I = 14; d 1.235, I = 8; d 1.454, I = 6; d 8.726, I = 5

Structure:
```
Hf2AgPt3
1.0
3.492 0.000 0.000
0.000 3.492 0.000
0.000 0.000 8.726
Hf Ag Pt
2 1 3
Direct
0.000 0.000 0.000
0.500 0.500 0.478
0.500 0.500 0.814
0.000 0.000 0.324
0.000 0.000 0.647
0.500 0.500 0.138
```


Entry 6:
Simulated powder diffraction line list
Compound: Hf2Ag3Pt
Radiation: λ = 1.5418 Å (Cu Kα)
Structure: a crystal structure in OQMD, relaxed with PBE
Intensities are scaled so that the largest is 100.

Peak list (8 most intense, 2θ from 10° to 80°, by intensity)
d 2.258, I = 100; d 2.492, I = 68; d 1.389, I = 42; d 1.762, I = 24; d 1.266, I = 14; d 8.823, I = 8; d 1.246, I = 7; d 1.471, I = 6

Structure:
```
Hf2Ag3Pt
1.0
3.524 0.000 0.000
0.000 3.524 0.000
0.000 0.000 8.823
Hf Ag Pt
2 3 1
Direct
0.000 0.000 0.000
0.500 0.500 0.479
0.000 0.000 0.319
0.000 0.000 0.655
0.500 0.500 0.815
0.500 0.500 0.145
```


Entry 7:
Simulated powder diffraction line list
Compound: RbHfAg3S4
Radiation: λ = 1.5418 Å (Cu Kα)
Structure: a crystal structure in OQMD, relaxed with PBE
Intensities are scaled so that the largest is 100.

Peak list (8 most intense, 2θ from 10° to 80°, by intensity)
d 2.250, I = 100; d 6.364, I = 72; d 3.182, I = 59; d 3.674, I = 41; d 1.299, I = 30; d 4.500, I = 29; d 1.423, I = 24; d 2.846, I = 24

Structure:
```
RbHfAg3S4
1.0
6.364 0.000 0.000
0.000 6.364 0.000
0.000 0.000 6.364
Rb Hf Ag S
1 1 3 4
Direct
0.000 0.000 0.000
0.500 0.500 0.500
0.000 0.500 0.500
0.500 0.000 0.500
0.500 0.500 0.000
0.283 0.283 0.283
0.283 0.717 0.717
0.717 0.283 0.717
0.717 0.717 0.283
```


Entry 8:
Simulated powder diffraction line list
Compound: RbHfAgS3
Radiation: λ = 1.5418 Å (Cu Kα)
Structure: a crystal structure in OQMD, relaxed with PBE
Intensities are scaled so that the largest is 100.

Peak list (8 most intense, 2θ from 10° to 80°, by intensity)
d 7.401, I = 100; d 2.623, I = 47; d 3.030, I = 35; d 3.701, I = 29; d 2.916, I = 26; d 2.140, I = 25; d 2.433, I = 16; d 1.775, I = 15

Structure:
```
RbHfAgS3
1.0
14.802 0.000 0.000
0.000 3.856 0.000
0.000 0.000 10.386
Rb Hf Ag S
4 4 4 12
Direct
0.234 0.250 0.042
0.266 0.750 0.542
0.734 0.250 0.458
0.766 0.750 0.958
0.014 0.250 0.334
0.486 0.750 0.834
0.514 0.250 0.166
0.986 0.750 0.666
0.016 0.750 0.095
0.484 0.250 0.595
0.516 0.750 0.405
0.984 0.250 0.905
0.083 0.250 0.567
0.094 0.750 0.853
0.125 0.750 0.279
0.375 0.250 0.779
0.406 0.250 0.353
0.417 0.750 0.067
0.583 0.250 0.933
0.594 0.750 0.647
0.625 0.750 0.221
0.875 0.250 0.721
0.906 0.250 0.147
0.917 0.750 0.433
```


Entry 9:
Simulated powder diffraction line list
Compound: RbHfAgTeSeS
Radiation: λ = 1.5418 Å (Cu Kα)
Structure: a crystal structure in OQMD, relaxed with PBE
Intensities are scaled so that the largest is 100.

Peak list (8 most intense, 2θ from 10° to 80°, by intensity)
d 7.820, I = 100; d 2.973, I = 59; d 2.865, I = 48; d 2.606, I = 43; d 2.364, I = 33; d 2.127, I = 31; d 2.019, I = 28; d 3.200, I = 24

Structure:
```
RbHfAgTeSeS
1.0
8.801 0.000 0.000
0.000 4.037 0.000
-3.920 0.000 9.455
Rb Hf Ag Te Se S
2 2 2 2 2 2
Direct
0.224 0.250 0.208
0.776 0.750 0.792
0.172 0.750 0.651
0.828 0.250 0.349
0.422 0.250 0.893
0.578 0.750 0.107
0.398 0.250 0.618
0.602 0.750 0.382
0.234 0.750 0.926
0.766 0.250 0.074
0.023 0.750 0.374
0.977 0.250 0.626
```


Entry 10:
Simulated powder diffraction line list
Compound: RbHfAgTeSeS
Radiation: λ = 1.5418 Å (Cu Kα)
Structure: a crystal structure in OQMD, relaxed with PBE
Intensities are scaled so that the largest is 100.

Peak list (8 most intense, 2θ from 10° to 80°, by intensity)
d 7.828, I = 100; d 2.839, I = 45; d 2.942, I = 35; d 2.134, I = 33; d 2.661, I = 29; d 2.611, I = 27; d 1.987, I = 20; d 2.345, I = 20

Structure:
```
RbHfAgTeSeS
1.0
8.763 0.000 0.000
0.000 3.973 0.000
-3.920 0.000 9.626
Rb Hf Ag Te Se S
2 2 2 2 2 2
Direct
0.241 0.250 0.247
0.759 0.750 0.753
0.326 0.750 0.855
0.674 0.250 0.145
0.071 0.250 0.608
0.929 0.750 0.392
0.280 0.750 0.565
0.720 0.250 0.435
0.121 0.250 0.874
0.879 0.750 0.126
0.470 0.750 0.121
0.530 0.250 0.879
```


Entry 11:
Simulated powder diffraction line list
Compound: Rb2HfAg2Se4
Radiation: λ = 1.5418 Å (Cu Kα)
Structure: a crystal structure in OQMD, relaxed with PBE
Intensities are scaled so that the largest is 100.

Peak list (8 most intense, 2θ from 10° to 80°, by intensity)
d 3.221, I = 100; d 2.865, I = 92; d 1.877, I = 66; d 2.219, I = 64; d 7.025, I = 63; d 2.340, I = 52; d 5.736, I = 41; d 1.827, I = 36

Structure:
```
Rb2HfAg2Se4
1.0
3.142 -7.025 0.000
3.142 7.025 0.000
0.000 0.000 6.267
Rb Hf Ag Se
2 1 2 4
Direct
0.000 0.500 0.241
0.500 0.000 0.759
0.000 0.000 0.500
0.000 0.000 0.000
0.500 0.500 0.500
0.121 0.338 0.729
0.338 0.121 0.271
0.662 0.879 0.271
0.879 0.662 0.729
```


Entry 12:
Simulated powder diffraction line list
Compound: Rb2HfAg2Te4
Radiation: λ = 1.5418 Å (Cu Kα)
Structure: a crystal structure in OQMD, relaxed with PBE
Intensities are scaled so that the largest is 100.

Peak list (8 most intense, 2θ from 10° to 80°, by intensity)
d 3.392, I = 100; d 2.315, I = 53; d 2.463, I = 52; d 2.999, I = 45; d 7.477, I = 43; d 1.983, I = 42; d 1.912, I = 38; d 6.003, I = 21

Structure:
```
Rb2HfAg2Te4
1.0
3.277 -7.477 0.000
3.277 7.477 0.000
0.000 0.000 6.542
Rb Hf Ag Te
2 1 2 4
Direct
0.000 0.500 0.244
0.500 0.000 0.756
0.000 0.000 0.500
0.000 0.000 0.000
0.500 0.500 0.500
0.130 0.349 0.739
0.349 0.130 0.261
0.651 0.870 0.261
0.870 0.651 0.739
```


Entry 13:
Simulated powder diffraction line list
Compound: HfAg2S3
Radiation: λ = 1.5418 Å (Cu Kα)
Structure: a crystal structure in OQMD, relaxed with PBE
Intensities are scaled so that the largest is 100.

Peak list (8 most intense, 2θ from 10° to 80°, by intensity)
d 3.426, I = 100; d 3.231, I = 86; d 2.633, I = 79; d 2.026, I = 69; d 3.346, I = 54; d 1.945, I = 45; d 1.909, I = 43; d 2.791, I = 40

Structure:
```
HfAg2S3
1.0
5.781 -3.346 0.000
5.781 3.346 0.000
0.000 0.000 12.746
Hf Ag S
4 8 12
Direct
0.162 0.162 0.000
0.338 0.338 0.500
0.662 0.662 0.500
0.838 0.838 0.000
0.025 0.975 0.680
0.148 0.352 0.250
0.352 0.148 0.750
0.475 0.525 0.180
0.525 0.475 0.820
0.648 0.852 0.250
0.852 0.648 0.750
0.975 0.025 0.320
0.002 0.346 0.603
0.111 0.889 0.124
0.154 0.498 0.897
0.346 0.002 0.397
0.389 0.611 0.624
0.498 0.154 0.103
0.502 0.846 0.897
0.611 0.389 0.376
0.654 0.998 0.603
0.846 0.502 0.103
0.889 0.111 0.876
0.998 0.654 0.397
```